# 1
The following is a calculated PXRD pattern of Tl2SnHgCl4. It was derived from a crystal structure in Alexandria, relaxed with PBE, using λ = 1.5418 Å (Cu Kα).

Cell and atoms:
Lattice parameters (Å, degrees): 14.040 4.352 9.061 90.00 111.50 90.00
Sites, in units of the cell vectors:
Tl1 0.205 0.000 0.209
Tl2 0.295 0.500 0.791
Tl3 0.705 0.500 0.209
Tl4 0.795 0.000 0.791
Sn1 0.000 0.000 0.500
Sn2 0.500 0.500 0.500
Hg1 0.000 0.500 0.000
Hg2 0.500 0.000 0.000
Cl1 0.117 0.500 0.437
Cl2 0.147 0.000 0.816
Cl3 0.353 0.500 0.184
Cl4 0.383 0.000 0.563
Cl5 0.617 0.000 0.437
Cl6 0.647 0.500 0.816
Cl7 0.853 0.000 0.184
Cl8 0.883 0.500 0.563

Largest 6 diffraction maxima, low angle first, 2θ from 10° to 80°:
2θ (°)  I (rel.)
20.47  72
25.09  60
28.17  100
29.12  31
36.54  45
42.98  32

***

# 2
The following is a calculated PXRD pattern of Lu3Mn. It was derived from a crystal structure in Alexandria, relaxed with PBE, using λ = 1.5418 Å (Cu Kα).

Cell and atoms:
Lattice parameters (Å, degrees): 3.558 5.234 10.794 90.00 90.00 90.00
Sites, in units of the cell vectors:
Lu1 0.000 0.000 0.000
Lu2 0.000 0.500 0.209
Lu3 0.000 0.500 0.791
Lu4 0.500 0.000 0.291
Lu5 0.500 0.000 0.709
Lu6 0.500 0.500 0.500
Mn1 0.000 0.000 0.500
Mn2 0.500 0.500 0.000

Largest 6 diffraction maxima, low angle first, 2θ from 10° to 80°:
2θ (°)  I (rel.)
26.38  15
30.14  32
33.20  17
34.26  30
34.72  100
61.65  19

***

# 3
The following is a calculated PXRD pattern of NaPa2I11. It was derived from a crystal structure in Alexandria, relaxed with PBE, using λ = 1.5418 Å (Cu Kα).

Cell and atoms:
Lattice parameters (Å, degrees): 13.301 13.301 13.301 125.50 97.75 106.52
Sites, in units of the cell vectors:
Na1 0.250 0.250 0.000
Na2 0.750 0.750 0.000
Pa1 0.078 0.728 0.807
Pa2 0.422 0.228 0.650
Pa3 0.578 0.772 0.350
Pa4 0.922 0.272 0.193
I1 0.000 0.500 0.500
I2 0.045 0.516 0.826
I3 0.091 0.925 0.759
I4 0.151 0.941 0.092
I5 0.165 0.331 0.241
I6 0.190 0.016 0.471
I7 0.310 0.781 0.826
I8 0.335 0.575 0.166
I9 0.349 0.441 0.790
I10 0.409 0.169 0.834
I11 0.455 0.281 0.471
I12 0.500 0.000 0.500
I13 0.545 0.719 0.529
I14 0.591 0.831 0.166
I15 0.651 0.559 0.210
I16 0.665 0.425 0.834
I17 0.690 0.219 0.174
I18 0.810 0.984 0.529
I19 0.835 0.669 0.759
I20 0.849 0.059 0.908
I21 0.909 0.075 0.241
I22 0.955 0.484 0.174

Largest 6 diffraction maxima, low angle first, 2θ from 10° to 80°:
2θ (°)  I (rel.)
10.11  38
11.12  78
13.65  100
26.76  44
27.43  68
28.12  36

***

# 4
The following is a calculated PXRD pattern of Tl3Br4. It was derived from a crystal structure in Alexandria, relaxed with PBE, using λ = 1.5418 Å (Cu Kα).

Cell and atoms:
Lattice parameters (Å, degrees): 9.418 9.418 9.418 60.00 60.00 60.00
Sites, in units of the cell vectors:
Tl1 0.000 0.000 0.000
Tl2 0.000 0.000 0.500
Tl3 0.000 0.500 0.000
Tl4 0.375 0.375 0.375
Tl5 0.500 0.000 0.000
Tl6 0.625 0.625 0.625
Br1 0.248 0.751 0.751
Br2 0.249 0.249 0.249
Br3 0.249 0.249 0.752
Br4 0.249 0.752 0.249
Br5 0.751 0.248 0.751
Br6 0.751 0.751 0.248
Br7 0.751 0.751 0.751
Br8 0.752 0.249 0.249

Largest 6 diffraction maxima, low angle first, 2θ from 10° to 80°:
2θ (°)  I (rel.)
22.14  100
26.77  39
35.01  43
38.22  93
52.79  30
69.10  33

***

# 5
The following is a calculated PXRD pattern of Rb5Zr2Te6. It was derived from a crystal structure in Alexandria, relaxed with PBE, using λ = 1.5418 Å (Cu Kα).

Cell and atoms:
Lattice parameters (Å, degrees): 8.678 8.678 19.214 100.67 100.67 64.74
Sites, in units of the cell vectors:
Rb1 0.147 0.853 0.750
Rb2 0.188 0.708 0.001
Rb3 0.221 0.455 0.268
Rb4 0.292 0.812 0.499
Rb5 0.455 0.221 0.768
Rb6 0.545 0.779 0.232
Rb7 0.708 0.188 0.501
Rb8 0.779 0.545 0.732
Rb9 0.812 0.292 0.999
Rb10 0.853 0.147 0.250
Zr1 0.136 0.408 0.569
Zr2 0.408 0.136 0.069
Zr3 0.592 0.864 0.931
Zr4 0.864 0.592 0.431
Te1 0.101 0.175 0.639
Te2 0.161 0.277 0.423
Te3 0.175 0.101 0.139
Te4 0.277 0.161 0.923
Te5 0.412 0.483 0.628
Te6 0.483 0.412 0.128
Te7 0.517 0.588 0.872
Te8 0.588 0.517 0.372
Te9 0.723 0.839 0.077
Te10 0.825 0.899 0.861
Te11 0.839 0.723 0.577
Te12 0.899 0.825 0.361

Largest 6 diffraction maxima, low angle first, 2θ from 10° to 80°:
2θ (°)  I (rel.)
11.77  85
22.37  80
22.93  80
24.66  94
25.43  80
27.02  100

***

# 6
The following is a calculated PXRD pattern of AlInAgF6. It was derived from a crystal structure in Alexandria, relaxed with PBE, using λ = 1.5418 Å (Cu Kα).

Cell and atoms:
Lattice parameters (Å, degrees): 5.696 5.696 9.649 90.00 90.00 120.00
Sites, in units of the cell vectors:
Al1 0.333 0.667 0.250
Al2 0.667 0.333 0.750
In1 0.333 0.667 0.750
In2 0.667 0.333 0.250
Ag1 0.000 0.000 0.000
Ag2 0.000 0.000 0.500
F1 0.061 0.404 0.142
F2 0.061 0.657 0.358
F3 0.343 0.404 0.358
F4 0.343 0.939 0.142
F5 0.404 0.061 0.642
F6 0.404 0.343 0.858
F7 0.596 0.657 0.142
F8 0.596 0.939 0.358
F9 0.657 0.061 0.858
F10 0.657 0.596 0.642
F11 0.939 0.343 0.642
F12 0.939 0.596 0.858

Largest 6 diffraction maxima, low angle first, 2θ from 10° to 80°:
2θ (°)  I (rel.)
20.22  16
25.83  100
31.41  37
41.10  25
49.52  40
52.63  26

***

# 7
The following is a calculated PXRD pattern of BaSbTe2S6. It was derived from a crystal structure in Alexandria, relaxed with PBE, using λ = 1.5418 Å (Cu Kα).

Cell and atoms:
Lattice parameters (Å, degrees): 6.701 7.092 7.985 114.94 92.15 116.35
Sites, in units of the cell vectors:
Ba1 0.000 0.000 0.000
Sb1 0.530 0.080 0.615
Te1 0.201 0.411 0.614
Te2 0.721 0.462 0.208
S1 0.064 0.961 0.410
S2 0.421 0.521 0.328
S3 0.425 0.940 0.857
S4 0.541 0.474 0.818
S5 0.791 0.240 0.337
S6 0.960 0.349 0.841

Largest 6 diffraction maxima, low angle first, 2θ from 10° to 80°:
2θ (°)  I (rel.)
22.57  100
24.51  44
25.27  46
26.63  50
35.25  39
42.72  38

***

# 8
The following is a calculated PXRD pattern of Pu4AsP3. It was derived from a crystal structure in Alexandria, relaxed with PBE, using λ = 1.5418 Å (Cu Kα).

Cell and atoms:
Lattice parameters (Å, degrees): 5.709 5.709 5.709 90.00 90.00 90.00
Sites, in units of the cell vectors:
Pu1 0.000 0.000 0.000
Pu2 0.000 0.500 0.500
Pu3 0.500 0.000 0.500
Pu4 0.500 0.500 0.000
As1 0.500 0.500 0.500
P1 0.000 0.000 0.500
P2 0.000 0.500 0.000
P3 0.500 0.000 0.000

Largest 6 diffraction maxima, low angle first, 2θ from 10° to 80°:
2θ (°)  I (rel.)
27.05  91
31.33  100
44.90  75
53.21  46
55.78  27
74.29  35

***

# 9
The following is a calculated PXRD pattern of SrTaSbO5. It was derived from a crystal structure in Alexandria, relaxed with PBE, using λ = 1.5418 Å (Cu Kα).

Cell and atoms:
Lattice parameters (Å, degrees): 6.186 6.186 7.762 106.35 106.35 102.10
Sites, in units of the cell vectors:
Sr1 0.069 0.931 0.750
Sr2 0.931 0.069 0.250
Ta1 0.000 0.500 0.000
Ta2 0.500 0.000 0.500
Sb1 0.454 0.546 0.750
Sb2 0.546 0.454 0.250
O1 0.165 0.263 0.047
O2 0.203 0.607 0.860
O3 0.242 0.758 0.250
O4 0.263 0.165 0.547
O5 0.393 0.797 0.640
O6 0.607 0.203 0.360
O7 0.737 0.835 0.453
O8 0.758 0.242 0.750
O9 0.797 0.393 0.140
O10 0.835 0.737 0.953

Largest 6 diffraction maxima, low angle first, 2θ from 10° to 80°:
2θ (°)  I (rel.)
16.27  47
23.67  97
26.98  71
30.99  76
31.78  100
36.19  38

***

# 10
The following is a calculated PXRD pattern of TmThCu4. It was derived from a crystal structure in Alexandria, relaxed with PBE, using λ = 1.5418 Å (Cu Kα).

Cell and atoms:
Lattice parameters (Å, degrees): 4.321 6.874 7.416 90.00 90.00 90.00
Sites, in units of the cell vectors:
Tm1 0.000 0.000 0.000
Tm2 0.500 0.500 0.500
Th1 0.000 0.500 0.925
Th2 0.500 0.000 0.425
Cu1 0.000 0.206 0.632
Cu2 0.000 0.298 0.302
Cu3 0.000 0.702 0.302
Cu4 0.000 0.794 0.632
Cu5 0.500 0.202 0.802
Cu6 0.500 0.294 0.132
Cu7 0.500 0.706 0.132
Cu8 0.500 0.798 0.802

Largest 6 diffraction maxima, low angle first, 2θ from 10° to 80°:
2θ (°)  I (rel.)
23.83  31
34.44  28
35.50  100
35.62  43
41.81  29
42.11  41

***

# 11
The following is a calculated PXRD pattern of DyTmSn2. It was derived from a crystal structure in Alexandria, relaxed with PBE, using λ = 1.5418 Å (Cu Kα).

Cell and atoms:
Lattice parameters (Å, degrees): 4.273 6.105 8.303 90.00 90.00 90.00
Sites, in units of the cell vectors:
Dy1 0.000 0.126 0.000
Dy2 0.000 0.874 0.500
Tm1 0.500 0.376 0.635
Tm2 0.500 0.624 0.135
Sn1 0.000 0.408 0.362
Sn2 0.000 0.592 0.862
Sn3 0.500 0.089 0.273
Sn4 0.500 0.911 0.773

Largest 6 diffraction maxima, low angle first, 2θ from 10° to 80°:
2θ (°)  I (rel.)
27.65  47
30.01  88
31.22  73
33.48  100
37.80  81
42.30  40

***

# 12
The following is a calculated PXRD pattern of LiBe2Au3. It was derived from a crystal structure in Alexandria, relaxed with PBE, using λ = 1.5418 Å (Cu Kα).

Cell and atoms:
Lattice parameters (Å, degrees): 6.711 6.711 6.711 53.20 53.20 53.20
Sites, in units of the cell vectors:
Li1 0.000 0.000 0.000
Li2 0.500 0.500 0.500
Be1 0.147 0.147 0.147
Be2 0.353 0.353 0.353
Be3 0.647 0.647 0.647
Be4 0.853 0.853 0.853
Au1 0.038 0.750 0.462
Au2 0.250 0.538 0.962
Au3 0.462 0.038 0.750
Au4 0.538 0.962 0.250
Au5 0.750 0.462 0.038
Au6 0.962 0.250 0.538

Largest 6 diffraction maxima, low angle first, 2θ from 10° to 80°:
2θ (°)  I (rel.)
29.73  19
31.14  30
33.66  100
43.59  18
57.03  23
62.55  15